The following is a calculated X-ray powder pattern of AcLa9Er2. It was derived from a PBE-relaxed structure, using λ = 1.5418 Å (Cu Kα).
Neutral-atom scattering factors, no anomalous dispersion.

Atomic structure:
```
data_AcLa9Er2
_space_group_name_H-M_alt 'P 4/m m m'
_space_group_IT_number 123
_space_group_name_Hall '-P 4 2'
_cell_length_a 5.243
_cell_length_b 5.243
_cell_length_c 15.809
_cell_angle_alpha 90.00
_cell_angle_beta 90.00
_cell_angle_gamma 90.00
loop_
_atom_site_label
_atom_site_type_symbol
_atom_site_fract_x
_atom_site_fract_y
_atom_site_fract_z
_atom_site_occupancy
Ac1 Ac 0.000 0.000 0.000 1
La1 La 0.000 0.500 0.174 1
La2 La 0.000 0.500 0.500 1
La3 La 0.500 0.500 0.000 1
La4 La 0.500 0.500 0.338 1
Er1 Er 0.000 0.000 0.337 1
```

Peak list (10 most intense, 10° ≤ 2θ ≤ 90°, most intense first)
index, Position (°2θ), I/Imax
1 1 3, 29.5, 100
2 0 0, 34.2, 34
3 1 3, 58.3, 29
2 0 6, 49.0, 24
0 0 6, 34.0, 17
1 1 9, 58.1, 14
2 2 6, 61.1, 12
2 2 0, 49.1, 12
3 1 9, 79.5, 11
4 2 0, 82.2, 11